Structure and simulated X-ray powder pattern of RbLa2FeO5 (a GGA+U-relaxed structure; a wavelength of 1.5418 Å).
Neutral-atom scattering factors, no anomalous dispersion.

The 6 most intense peaks (2θ from 10° to 90°), most intense first:
d = 2.986 Å, I = 100
d = 2.427 Å, I = 61
d = 3.007 Å, I = 52
d = 2.905 Å, I = 34
d = 5.810 Å, I = 26
d = 1.862 Å, I = 25

Crystal structure
Unit cell a=7.6149 b=7.6149 c=7.6149 alpha=125.60 beta=125.60 gamma=80.54
Sites, in units of the cell vectors:
Rb 0.2500 0.2500 0.0000
Rb 0.7500 0.7500 0.0000
La 0.1810 0.6810 0.8621
La 0.3190 0.1810 0.5000
La 0.6810 0.8190 0.5000
La 0.8190 0.3190 0.1379
Fe 0.2500 0.7500 0.5000
Fe 0.7500 0.2500 0.5000
O 0.0000 0.0000 0.0000
O 0.0041 0.7571 0.5000
O 0.2429 0.7429 0.2470
O 0.2571 0.5041 0.5000
O 0.4959 0.9959 0.7530
O 0.5000 0.5000 0.0000
O 0.5041 0.0041 0.2470
O 0.7429 0.4959 0.5000
O 0.7571 0.2571 0.7530
O 0.9959 0.2429 0.5000